# 1
The following is a simulated XRD peak list of NiAs2. It was derived from a structure optimized by DFT (GGA-PBE), using Cu Kα (weighted mean of Kα1 and Kα2).
No peak broadening, texture or thermal motion is included.

Largest 10 diffraction maxima, most intense first, 5° ≤ 2θ ≤ 70°:
Position (°2θ)	I (rel.)
34.78	100
35.30	93
52.15	67
49.74	55
37.69	52
37.89	51
34.26	48
31.07	43
45.07	41
52.58	41

Crystal structure
```
data_NiAs2
_chemical_formula_sum 'Ni8 As16'
_cell_length_a 5.817
_cell_length_b 5.878
_cell_length_c 11.512
_cell_angle_alpha 90.00
_cell_angle_beta 90.00
_cell_angle_gamma 90.00
_space_group_name_H-M_alt 'P 1'
_space_group_IT_number 1
_space_group_name_Hall 'P 1'
loop_
_atom_site_label
_atom_site_type_symbol
_atom_site_fract_x
_atom_site_fract_y
_atom_site_fract_z
Ni1 Ni 0.004 0.175 0.128
Ni2 Ni 0.004 0.325 0.628
Ni3 Ni 0.496 0.675 0.128
Ni4 Ni 0.496 0.825 0.628
Ni5 Ni 0.504 0.175 0.372
Ni6 Ni 0.504 0.325 0.872
Ni7 Ni 0.996 0.675 0.372
Ni8 Ni 0.996 0.825 0.872
As1 As 0.122 0.553 0.182
As2 As 0.122 0.947 0.682
As3 As 0.136 0.191 0.932
As4 As 0.136 0.309 0.432
As5 As 0.364 0.691 0.932
As6 As 0.364 0.809 0.432
As7 As 0.378 0.053 0.182
As8 As 0.378 0.447 0.682
As9 As 0.622 0.553 0.318
As10 As 0.622 0.947 0.818
As11 As 0.636 0.191 0.568
As12 As 0.636 0.309 0.068
As13 As 0.864 0.691 0.568
As14 As 0.864 0.809 0.068
As15 As 0.878 0.053 0.318
As16 As 0.878 0.447 0.818
```

=====

# 2
The following is a simulated XRD peak list of Pb2Cl3O. It was derived from a structure optimized by DFT (GGA-PBE), using Cu Kα (weighted mean of Kα1 and Kα2).
No peak broadening, texture or thermal motion is included.

Largest 10 diffraction maxima, most intense first, 5° ≤ 2θ ≤ 70°:
Position (°2θ)	I (rel.)
28.96	100
23.50	97
15.32	50
39.80	47
35.34	45
17.71	36
47.66	34
27.52	31
32.23	28
39.21	28

Crystal structure
```
data_Pb2Cl3O
_chemical_formula_sum 'Pb6 Cl9 O3'
_cell_length_a 11.565
_cell_length_b 11.565
_cell_length_c 3.913
_cell_angle_alpha 90.00
_cell_angle_beta 90.00
_cell_angle_gamma 120.00
_space_group_name_H-M_alt 'P 1'
_space_group_IT_number 1
_space_group_name_Hall 'P 1'
loop_
_atom_site_label
_atom_site_type_symbol
_atom_site_fract_x
_atom_site_fract_y
_atom_site_fract_z
Pb1 Pb 0.054 0.500 0.000
Pb2 Pb 0.273 0.211 0.500
Pb3 Pb 0.446 0.946 0.000
Pb4 Pb 0.500 0.554 0.000
Pb5 Pb 0.789 0.062 0.500
Pb6 Pb 0.938 0.727 0.500
Cl1 Cl 0.025 0.190 0.000
Cl2 Cl 0.165 0.975 0.000
Cl3 Cl 0.194 0.724 0.500
Cl4 Cl 0.276 0.471 0.500
Cl5 Cl 0.485 0.140 0.500
Cl6 Cl 0.529 0.806 0.500
Cl7 Cl 0.655 0.515 0.500
Cl8 Cl 0.810 0.835 0.000
Cl9 Cl 0.860 0.345 0.500
O1 O 0.379 0.315 0.000
O2 O 0.685 0.063 0.000
O3 O 0.937 0.621 0.000
```

=====

# 3
The following is a simulated XRD peak list of Sr4La2MgRu2O12. It was derived from a structure optimized by DFT (GGA-PBE), using Cu Kα (weighted mean of Kα1 and Kα2).
No peak broadening, texture or thermal motion is included.

Largest 10 diffraction maxima, most intense first, 5° ≤ 2θ ≤ 70°:
Position (°2θ)	I (rel.)
30.98	100
46.08	37
32.21	35
32.05	35
56.67	19
42.30	17
43.22	14
42.65	14
56.39	12
64.49	11

Crystal structure
```
data_Sr4La2MgRu2O12
_chemical_formula_sum 'Sr8 La4 Mg2 Ru4 O24'
_cell_length_a 3.940
_cell_length_b 3.940
_cell_length_c 38.155
_cell_angle_alpha 90.13
_cell_angle_beta 90.13
_cell_angle_gamma 89.71
_space_group_name_H-M_alt 'P 1'
_space_group_IT_number 1
_space_group_name_Hall 'P 1'
loop_
_atom_site_label
_atom_site_type_symbol
_atom_site_fract_x
_atom_site_fract_y
_atom_site_fract_z
Sr1 Sr 0.247 0.247 0.133
Sr2 Sr 0.248 0.248 0.798
Sr3 Sr 0.249 0.249 0.701
Sr4 Sr 0.253 0.253 0.035
Sr5 Sr 0.747 0.747 0.965
Sr6 Sr 0.751 0.751 0.299
Sr7 Sr 0.752 0.752 0.202
Sr8 Sr 0.753 0.753 0.867
La1 La 0.231 0.231 0.463
La2 La 0.281 0.281 0.372
La3 La 0.719 0.719 0.628
La4 La 0.769 0.769 0.537
Mg1 Mg 0.250 0.250 0.583
Mg2 Mg 0.750 0.750 0.417
Ru1 Ru 0.250 0.250 0.251
Ru2 Ru 0.250 0.250 0.916
Ru3 Ru 0.750 0.750 0.084
Ru4 Ru 0.750 0.750 0.749
O1 O 0.229 0.229 0.523
O2 O 0.243 0.243 0.862
O3 O 0.244 0.244 0.196
O4 O 0.249 0.748 0.417
O5 O 0.250 0.749 0.749
O6 O 0.250 0.750 0.084
O7 O 0.250 0.750 0.916
O8 O 0.251 0.750 0.251
O9 O 0.252 0.751 0.583
O10 O 0.255 0.255 0.306
O11 O 0.257 0.257 0.971
O12 O 0.284 0.284 0.640
O13 O 0.716 0.716 0.360
O14 O 0.743 0.743 0.029
O15 O 0.745 0.745 0.694
O16 O 0.748 0.249 0.417
O17 O 0.749 0.250 0.749
O18 O 0.750 0.250 0.084
O19 O 0.750 0.250 0.916
O20 O 0.750 0.251 0.251
O21 O 0.751 0.252 0.583
O22 O 0.756 0.756 0.804
O23 O 0.757 0.757 0.138
O24 O 0.771 0.771 0.477
```

=====

# 4
The following is a simulated XRD peak list of Rb3GeF7. It was derived from a structure optimized by DFT (GGA-PBE), using Cu Kα (weighted mean of Kα1 and Kα2).
No peak broadening, texture or thermal motion is included.

Largest 10 diffraction maxima, most intense first, 5° ≤ 2θ ≤ 70°:
Position (°2θ)	I (rel.)
26.21	100
30.67	42
38.64	32
43.23	31
29.72	27
28.40	16
50.64	15
51.88	15
45.35	13
24.14	12

Crystal structure
```
data_Rb3GeF7
_chemical_formula_sum 'Rb6 Ge2 F14'
_cell_length_a 8.244
_cell_length_b 8.244
_cell_length_c 6.013
_cell_angle_alpha 90.00
_cell_angle_beta 90.00
_cell_angle_gamma 90.00
_space_group_name_H-M_alt 'P 1'
_space_group_IT_number 1
_space_group_name_Hall 'P 1'
loop_
_atom_site_label
_atom_site_type_symbol
_atom_site_fract_x
_atom_site_fract_y
_atom_site_fract_z
Rb1 Rb 0.000 0.000 0.000
Rb2 Rb 0.196 0.304 0.500
Rb3 Rb 0.304 0.804 0.500
Rb4 Rb 0.500 0.500 0.000
Rb5 Rb 0.696 0.196 0.500
Rb6 Rb 0.804 0.696 0.500
Ge1 Ge 0.000 0.500 0.000
Ge2 Ge 0.500 0.000 0.000
F1 F 0.000 0.000 0.500
F2 F 0.109 0.609 0.220
F3 F 0.109 0.609 0.780
F4 F 0.158 0.342 0.000
F5 F 0.342 0.842 0.000
F6 F 0.391 0.109 0.220
F7 F 0.391 0.109 0.780
F8 F 0.500 0.500 0.500
F9 F 0.609 0.891 0.220
F10 F 0.609 0.891 0.780
F11 F 0.658 0.158 0.000
F12 F 0.842 0.658 0.000
F13 F 0.891 0.391 0.220
F14 F 0.891 0.391 0.780
```

=====

# 5
The following is a simulated XRD peak list of Ba3Ho. It was derived from a structure optimized by DFT (GGA-PBE), using Cu Kα (weighted mean of Kα1 and Kα2).
No peak broadening, texture or thermal motion is included.

Largest 10 diffraction maxima, most intense first, 5° ≤ 2θ ≤ 70°:
Position (°2θ)	I (rel.)
26.11	100
30.33	34
51.37	31
43.24	26
30.08	17
51.05	16
53.72	14
69.21	13
43.42	13
69.48	6

Crystal structure
```
data_Ba3Ho
_chemical_formula_sum 'Ba3 Ho1'
_cell_length_a 7.258
_cell_length_b 7.258
_cell_length_c 7.258
_cell_angle_alpha 132.08
_cell_angle_beta 132.08
_cell_angle_gamma 70.10
_space_group_name_H-M_alt 'P 1'
_space_group_IT_number 1
_space_group_name_Hall 'P 1'
loop_
_atom_site_label
_atom_site_type_symbol
_atom_site_fract_x
_atom_site_fract_y
_atom_site_fract_z
Ba1 Ba 0.000 0.000 0.000
Ba2 Ba 0.250 0.750 0.500
Ba3 Ba 0.750 0.250 0.500
Ho1 Ho 0.500 0.500 0.000
```

=====

# 6
The following is a simulated XRD peak list of K2InAsCl6. It was derived from a structure optimized by DFT (GGA-PBE), using Cu Kα (weighted mean of Kα1 and Kα2).
No peak broadening, texture or thermal motion is included.

Largest 10 diffraction maxima, most intense first, 5° ≤ 2θ ≤ 70°:
Position (°2θ)	I (rel.)
33.00	100
23.17	90
16.33	85
47.36	64
37.03	40
40.71	38
64.19	21
58.94	21
53.37	20
50.43	20

Crystal structure
```
data_K2InAsCl6
_chemical_formula_sum 'K2 In1 As1 Cl6'
_cell_length_a 7.677
_cell_length_b 7.677
_cell_length_c 7.677
_cell_angle_alpha 60.00
_cell_angle_beta 60.00
_cell_angle_gamma 60.00
_space_group_name_H-M_alt 'P 1'
_space_group_IT_number 1
_space_group_name_Hall 'P 1'
loop_
_atom_site_label
_atom_site_type_symbol
_atom_site_fract_x
_atom_site_fract_y
_atom_site_fract_z
K1 K 0.250 0.250 0.250
K2 K 0.750 0.750 0.750
In1 In 0.000 0.000 0.000
As1 As 0.500 0.500 0.500
Cl1 Cl 0.267 0.267 0.733
Cl2 Cl 0.267 0.733 0.267
Cl3 Cl 0.267 0.733 0.733
Cl4 Cl 0.733 0.267 0.267
Cl5 Cl 0.733 0.267 0.733
Cl6 Cl 0.733 0.733 0.267
```